No. 1
# YMnCo
Calculated powder diffractogram, Cu Kα (λ = 1.5418 Å). Input: a GGA-PBE-relaxed structure.
Intensities are scaled so that the largest is 100.

Largest 10 diffraction maxima, most intense first, 5° ≤ 2θ ≤ 70°:
2θ/deg  d (Å)  Rel. int.
40.6  2.224  100
40.0  2.253  99
34.6  2.591  83
41.2  2.193  53
42.8  2.111  41
41.3  2.184  40
42.2  2.143  37
33.6  2.664  26
64.9  1.437  23
65.5  1.425  21

Structural model:
```
data_YMnCo
_space_group_name_H-M_alt 'P 1'
_space_group_IT_number 1
_space_group_name_Hall 'P 1'
_cell_length_a 5.186
_cell_length_b 5.186
_cell_length_c 5.186
_cell_angle_alpha 119.77
_cell_angle_beta 118.18
_cell_angle_gamma 91.79
loop_
_atom_site_label
_atom_site_type_symbol
_atom_site_fract_x
_atom_site_fract_y
_atom_site_fract_z
Y1 Y 0.371 0.121 0.250
Y2 Y 0.629 0.879 0.750
Mn1 Mn 0.000 0.500 0.500
Mn2 Mn 0.500 0.500 0.000
Co1 Co 0.000 0.000 0.500
Co2 Co 0.000 0.500 0.000
```



No. 2
# Mg14NbZnO16
Calculated powder diffractogram, Cu Kα (λ = 1.5418 Å). Input: a GGA-PBE-relaxed structure.
Intensities are scaled so that the largest is 100.

Largest 10 diffraction maxima, most intense first, 5° ≤ 2θ ≤ 70°:
2θ/deg  d (Å)  Rel. int.
41.9  2.158  100
60.9  1.520  57
42.2  2.142  49
36.1  2.485  35
10.3  8.629  30
60.7  1.526  29
20.6  4.315  14
29.4  3.040  12
31.2  2.868  11
23.0  3.860  10

Structural model:
```
data_Mg14NbZnO16
_space_group_name_H-M_alt 'P 1'
_space_group_IT_number 1
_space_group_name_Hall 'P 1'
_cell_length_a 4.285
_cell_length_b 8.629
_cell_length_c 8.631
_cell_angle_alpha 90.00
_cell_angle_beta 90.00
_cell_angle_gamma 90.00
loop_
_atom_site_label
_atom_site_type_symbol
_atom_site_fract_x
_atom_site_fract_y
_atom_site_fract_z
Mg1 Mg 0.000 0.000 0.000
Mg2 Mg 0.000 0.000 0.500
Mg3 Mg 0.000 0.248 0.248
Mg4 Mg 0.000 0.248 0.752
Mg5 Mg 0.000 0.752 0.248
Mg6 Mg 0.000 0.752 0.752
Mg7 Mg 0.500 0.000 0.249
Mg8 Mg 0.500 0.000 0.751
Mg9 Mg 0.500 0.245 0.500
Mg10 Mg 0.500 0.250 0.000
Mg11 Mg 0.500 0.500 0.244
Mg12 Mg 0.500 0.500 0.756
Mg13 Mg 0.500 0.750 0.000
Mg14 Mg 0.500 0.755 0.500
Nb1 Nb 0.000 0.500 0.500
Zn1 Zn 0.000 0.500 0.000
O1 O 0.000 0.000 0.249
O2 O 0.000 0.000 0.751
O3 O 0.000 0.238 0.500
O4 O 0.000 0.244 0.000
O5 O 0.000 0.500 0.242
O6 O 0.000 0.500 0.758
O7 O 0.000 0.756 0.000
O8 O 0.000 0.762 0.500
O9 O 0.500 0.000 0.000
O10 O 0.500 0.000 0.500
O11 O 0.500 0.251 0.250
O12 O 0.500 0.251 0.750
O13 O 0.500 0.500 0.000
O14 O 0.500 0.500 0.500
O15 O 0.500 0.749 0.250
O16 O 0.500 0.749 0.750
```



Please write out number 2 again, unchanged.
# Mg14NbZnO16
Calculated powder diffractogram, Cu Kα (λ = 1.5418 Å). Input: a GGA-PBE-relaxed structure.
Intensities are scaled so that the largest is 100.

Largest 10 diffraction maxima, most intense first, 5° ≤ 2θ ≤ 70°:
2θ/deg  d (Å)  Rel. int.
41.9  2.158  100
60.9  1.520  57
42.2  2.142  49
36.1  2.485  35
10.3  8.629  30
60.7  1.526  29
20.6  4.315  14
29.4  3.040  12
31.2  2.868  11
23.0  3.860  10

Structural model:
```
data_Mg14NbZnO16
_space_group_name_H-M_alt 'P 1'
_space_group_IT_number 1
_space_group_name_Hall 'P 1'
_cell_length_a 4.285
_cell_length_b 8.629
_cell_length_c 8.631
_cell_angle_alpha 90.00
_cell_angle_beta 90.00
_cell_angle_gamma 90.00
loop_
_atom_site_label
_atom_site_type_symbol
_atom_site_fract_x
_atom_site_fract_y
_atom_site_fract_z
Mg1 Mg 0.000 0.000 0.000
Mg2 Mg 0.000 0.000 0.500
Mg3 Mg 0.000 0.248 0.248
Mg4 Mg 0.000 0.248 0.752
Mg5 Mg 0.000 0.752 0.248
Mg6 Mg 0.000 0.752 0.752
Mg7 Mg 0.500 0.000 0.249
Mg8 Mg 0.500 0.000 0.751
Mg9 Mg 0.500 0.245 0.500
Mg10 Mg 0.500 0.250 0.000
Mg11 Mg 0.500 0.500 0.244
Mg12 Mg 0.500 0.500 0.756
Mg13 Mg 0.500 0.750 0.000
Mg14 Mg 0.500 0.755 0.500
Nb1 Nb 0.000 0.500 0.500
Zn1 Zn 0.000 0.500 0.000
O1 O 0.000 0.000 0.249
O2 O 0.000 0.000 0.751
O3 O 0.000 0.238 0.500
O4 O 0.000 0.244 0.000
O5 O 0.000 0.500 0.242
O6 O 0.000 0.500 0.758
O7 O 0.000 0.756 0.000
O8 O 0.000 0.762 0.500
O9 O 0.500 0.000 0.000
O10 O 0.500 0.000 0.500
O11 O 0.500 0.251 0.250
O12 O 0.500 0.251 0.750
O13 O 0.500 0.500 0.000
O14 O 0.500 0.500 0.500
O15 O 0.500 0.749 0.250
O16 O 0.500 0.749 0.750
```



Q: Which formula does entry 2 have?
A: Mg14NbZnO16